Simulated XRD peak list
Compound: HfV2Pt6
Radiation: Cu Kα X-rays
Structure: a PBE-relaxed structure
No peak broadening, texture or thermal motion is included.

Most intense lines, 15 to 90 degrees two-theta, by angle:
h k l	2θ (°)	I_rel
1 3 1	35.55	100
1 2 2	39.10	91
0 1 3	41.44	29
0 6 0	46.33	25
1 4 2	47.71	27
2 0 0	47.82	30

a b c (Å): 3.804 11.758 6.653
angles (deg): 90.00 90.00 90.00
Space group Amm2 (No. 38)
Asymmetric unit:
Hf1 0.000 0.000 0.000
V1 0.500 0.137 0.660
Pt1 0.000 0.000 0.599
Pt2 0.000 0.188 0.336
Pt3 0.500 0.000 0.311
Pt4 0.500 0.168 0.024